[1]
Simulated powder X-ray diffraction pattern of MgTi6H4O14 for Cu Kα (weighted mean of Kα1 and Kα2), from a crystal structure in the Materials Project, relaxed with GGA-PBE.

Structural model:
```
MgTi6H4O14
1.0
3.851 0.000 0.000
-1.542 8.145 0.000
-0.004 -1.889 9.453
Mg Ti H O
1 6 4 14
Direct
0.000 0.000 0.000 Mg
0.059 0.148 0.752 Ti
0.104 0.263 0.467 Ti
0.140 0.347 0.159 Ti
0.442 0.855 0.772 Ti
0.475 0.946 0.493 Ti
0.525 0.062 0.216 Ti
0.277 0.499 0.752 H
0.285 0.608 0.023 H
0.317 0.692 0.193 H
0.636 0.593 0.840 H
0.004 0.017 0.521 O
0.040 0.101 0.211 O
0.093 0.231 0.941 O
0.136 0.342 0.662 O
0.169 0.420 0.364 O
0.237 0.585 0.119 O
0.393 0.608 0.827 O
0.400 0.767 0.580 O
0.439 0.866 0.300 O
0.476 0.941 0.015 O
0.532 0.084 0.714 O
0.574 0.187 0.429 O
0.619 0.296 0.159 O
0.955 0.887 0.800 O
```

Main lines, in order of rising 2θ (2θ = 10–90°):
- 2θ 11.08, I 100
- 2θ 15.87, I 16
- 2θ 24.06, I 17
- 2θ 35.30, I 14
- 2θ 41.94, I 16
- 2θ 47.27, I 14

---

[2]
Simulated powder X-ray diffraction pattern of Sr3MgPtO6 for Cu Kα (weighted mean of Kα1 and Kα2), from a crystal structure in the Materials Project, relaxed with GGA-PBE.

Structural model:
```
Sr3MgPtO6
1.0
4.869 2.811 3.751
-4.869 2.811 3.751
0.000 -5.622 3.751
Sr Mg Pt O
6 2 2 12
Direct
0.115 0.750 0.385 Sr
0.250 0.615 0.885 Sr
0.385 0.115 0.750 Sr
0.615 0.885 0.250 Sr
0.750 0.385 0.115 Sr
0.885 0.250 0.615 Sr
0.250 0.250 0.250 Mg
0.750 0.750 0.750 Mg
0.000 0.000 0.000 Pt
0.500 0.500 0.500 Pt
0.035 0.905 0.711 O
0.095 0.289 0.965 O
0.211 0.405 0.535 O
0.289 0.965 0.095 O
0.405 0.535 0.211 O
0.465 0.789 0.595 O
0.535 0.211 0.405 O
0.595 0.465 0.789 O
0.711 0.035 0.905 O
0.789 0.595 0.465 O
0.905 0.711 0.035 O
0.965 0.095 0.289 O
```

Main lines, in order of rising 2θ (2θ = 10–90°):
- 2θ 18.96, I 80
- 2θ 30.07, I 53
- 2θ 31.84, I 100
- 2θ 41.83, I 35
- 2θ 42.88, I 32
- 2θ 44.36, I 31

---

[3]
Simulated powder X-ray diffraction pattern of Cs2Cu3SnF12 for Cu Kα (weighted mean of Kα1 and Kα2), from a crystal structure in the Materials Project, relaxed with GGA-PBE.

Structural model:
```
Cs2Cu3SnF12
1.0
3.605 2.082 6.996
-3.605 2.082 6.996
0.000 -4.163 6.996
Cs Cu Sn F
2 3 1 12
Direct
0.106 0.106 0.106 Cs
0.894 0.894 0.894 Cs
0.000 0.500 0.500 Cu
0.500 0.000 0.500 Cu
0.500 0.500 0.000 Cu
0.500 0.500 0.500 Sn
0.180 0.580 0.580 F
0.187 0.187 0.581 F
0.187 0.581 0.187 F
0.419 0.813 0.813 F
0.420 0.420 0.820 F
0.420 0.820 0.420 F
0.580 0.180 0.580 F
0.580 0.580 0.180 F
0.581 0.187 0.187 F
0.813 0.419 0.813 F
0.813 0.813 0.419 F
0.820 0.420 0.420 F
```

Main lines, in order of rising 2θ (2θ = 10–90°):
- 2θ 24.69, I 36
- 2θ 25.57, I 100
- 2θ 27.84, I 75
- 2θ 29.86, I 45
- 2θ 45.14, I 35
- 2θ 50.64, I 36

---

[4]
Simulated powder X-ray diffraction pattern of MgTa4As4O20 for Cu Kα (weighted mean of Kα1 and Kα2), from a crystal structure in the Materials Project, relaxed with GGA-PBE.

Structural model:
```
MgTa4As4O20
1.0
6.990 0.000 0.000
0.000 5.536 0.000
-1.024 0.000 12.114
Mg Ta As O
1 4 4 20
Direct
0.000 0.000 0.000 Mg
0.316 0.000 0.602 Ta
0.406 0.000 0.132 Ta
0.773 0.500 0.203 Ta
0.992 0.500 0.701 Ta
0.068 0.000 0.328 As
0.307 0.500 0.958 As
0.603 0.500 0.493 As
0.703 0.000 0.798 As
0.114 0.500 0.856 O
0.126 0.000 0.464 O
0.158 0.250 0.656 O
0.158 0.750 0.656 O
0.229 0.225 0.033 O
0.229 0.775 0.033 O
0.287 0.000 0.267 O
0.464 0.000 0.752 O
0.485 0.248 0.537 O
0.485 0.752 0.537 O
0.583 0.250 0.152 O
0.583 0.750 0.152 O
0.611 0.500 0.355 O
0.735 0.000 0.939 O
0.805 0.252 0.750 O
0.805 0.748 0.750 O
0.834 0.500 0.555 O
0.892 0.500 0.079 O
0.948 0.248 0.282 O
0.948 0.752 0.282 O
```

Main lines, in order of rising 2θ (2θ = 10–90°):
- 2θ 14.62, I 59
- 2θ 20.49, I 60
- 2θ 21.41, I 44
- 2θ 24.61, I 100
- 2θ 25.90, I 36
- 2θ 31.75, I 35

---

Repeat the third record exactly.
Simulated powder X-ray diffraction pattern of Cs2Cu3SnF12 for Cu Kα (weighted mean of Kα1 and Kα2), from a crystal structure in the Materials Project, relaxed with GGA-PBE.

Structural model:
```
Cs2Cu3SnF12
1.0
3.605 2.082 6.996
-3.605 2.082 6.996
0.000 -4.163 6.996
Cs Cu Sn F
2 3 1 12
Direct
0.106 0.106 0.106 Cs
0.894 0.894 0.894 Cs
0.000 0.500 0.500 Cu
0.500 0.000 0.500 Cu
0.500 0.500 0.000 Cu
0.500 0.500 0.500 Sn
0.180 0.580 0.580 F
0.187 0.187 0.581 F
0.187 0.581 0.187 F
0.419 0.813 0.813 F
0.420 0.420 0.820 F
0.420 0.820 0.420 F
0.580 0.180 0.580 F
0.580 0.580 0.180 F
0.581 0.187 0.187 F
0.813 0.419 0.813 F
0.813 0.813 0.419 F
0.820 0.420 0.420 F
```

Main lines, in order of rising 2θ (2θ = 10–90°):
- 2θ 24.69, I 36
- 2θ 25.57, I 100
- 2θ 27.84, I 75
- 2θ 29.86, I 45
- 2θ 45.14, I 35
- 2θ 50.64, I 36